1.
TlGa2SnHg: computed powder diffractogram (CuKα), based on a cell relaxed with GGA-PBE.
Lines closer than 0.1° are merged.

Crystal structure
```
data_TlGa2SnHg
_chemical_formula_sum 'Tl2 Ga4 Sn2 Hg2'
_cell_length_a 6.4499
_cell_length_b 4.0065
_cell_length_c 10.0213
_cell_angle_alpha 90.00
_cell_angle_beta 98.73
_cell_angle_gamma 90.00
_symmetry_space_group_name_H-M 'P 1 21/m 1'
_symmetry_Int_Tables_number 11
_symmetry_space_group_name_Hall '-P 2yb'
loop_
_atom_site_label
_atom_site_fract_x
_atom_site_fract_y
_atom_site_fract_z
_atom_site_occupancy
Tl1 0.2480 0.2500 0.0664 1
Ga1 0.0729 0.7500 0.2839 1
Ga2 0.1320 0.2500 0.4727 1
Sn1 0.2390 0.7500 0.7939 1
Hg1 0.4959 0.7500 0.3592 1
```

Top 8 peaks for 2θ = 15–90°, in order of falling intensity:
| 2θ (°) | d_spacing | Rel. int. | hkl |
| --- | --- | --- | --- |
| 30.73 | 2.910 | 100.0 | 1 1 -2 |
| 28.66 | 3.115 | 62.6 | 0 1 2 |
| 38.24 | 2.354 | 36.9 | 2 1 1 |
| 36.89 | 2.436 | 30.7 | 1 0 -4 |
| 32.37 | 2.766 | 28.5 | 1 0 3 |
| 36.07 | 2.490 | 27.7 | 2 1 -1 |
| 45.27 | 2.003 | 24.0 | 0 2 0 |
| 28.49 | 3.133 | 18.3 | 1 1 1 |


2.
Sr3Ga3Hg2: computed powder diffractogram (CuKα), based on a cell relaxed with GGA-PBE.
Lines closer than 0.1° are merged.

Crystal structure
```
data_Sr3Ga3Hg2
_chemical_formula_sum 'Sr12 Ga12 Hg8'
_cell_length_a 4.7919
_cell_length_b 11.5958
_cell_length_c 16.0581
_cell_angle_alpha 90.00
_cell_angle_beta 90.00
_cell_angle_gamma 90.00
_symmetry_space_group_name_H-M 'C m c m'
_symmetry_Int_Tables_number 63
_symmetry_space_group_name_Hall '-C 2c 2'
loop_
_atom_site_label
_atom_site_fract_x
_atom_site_fract_y
_atom_site_fract_z
_atom_site_occupancy
Sr1 0.0000 0.1003 0.1072 1
Sr2 0.0000 0.3781 0.2500 1
Ga1 0.0000 0.3348 0.7500 1
Ga2 0.0000 0.3970 0.0366 1
Hg1 0.0000 0.1951 0.6002 1
```

Top 8 peaks for 2θ = 15–90°, in order of falling intensity:
| 2θ (°) | d_spacing | Rel. int. | hkl |
| --- | --- | --- | --- |
| 30.04 | 2.974 | 100.0 | 1 1 4 |
| 37.35 | 2.408 | 81.1 | 1 3 4 |
| 37.54 | 2.396 | 64.1 | 2 0 0 |
| 30.22 | 2.957 | 59.8 | 1 3 1 |
| 34.19 | 2.623 | 57.2 | 1 3 3 |
| 35.21 | 2.549 | 46.0 | 0 4 3 |
| 15.28 | 5.798 | 42.7 | 0 2 0 |
| 33.48 | 2.676 | 35.6 | 0 0 6 |


3.
Sr3Ga2Hg9: computed powder diffractogram (CuKα), based on a cell relaxed with GGA-PBE.
Lines closer than 0.1° are merged.

Crystal structure
```
data_Sr3Ga2Hg9
_chemical_formula_sum 'Sr6 Ga4 Hg18'
_cell_length_a 4.9623
_cell_length_b 10.7210
_cell_length_c 14.1592
_cell_angle_alpha 90.00
_cell_angle_beta 90.00
_cell_angle_gamma 90.00
_symmetry_space_group_name_H-M 'I m m m'
_symmetry_Int_Tables_number 71
_symmetry_space_group_name_Hall '-I 2 2'
loop_
_atom_site_label
_atom_site_fract_x
_atom_site_fract_y
_atom_site_fract_z
_atom_site_occupancy
Sr1 0.0000 0.0000 0.0000 1
Sr2 0.0000 0.0000 0.2995 1
Ga1 0.0000 0.1850 0.5000 1
Hg1 0.0000 0.2866 0.1401 1
Hg2 0.0000 0.3643 0.3506 1
Hg3 0.0000 0.5000 0.0000 1
```

Top 8 peaks for 2θ = 15–90°, in order of falling intensity:
| 2θ (°) | d_spacing | Rel. int. | hkl |
| --- | --- | --- | --- |
| 31.02 | 2.883 | 100.0 | 1 2 3 |
| 36.20 | 2.481 | 72.8 | 2 0 0 |
| 40.20 | 2.243 | 66.0 | 1 3 4 |
| 30.83 | 2.900 | 55.1 | 1 3 0 |
| 38.71 | 2.326 | 50.6 | 1 4 1 |
| 60.29 | 1.535 | 48.5 | 1 4 7 |
| 30.26 | 2.954 | 47.3 | 0 2 4 |
| 19.71 | 4.503 | 44.2 | 1 1 0 |


4.
Sr4GaHg: computed powder diffractogram (CuKα), based on a cell relaxed with GGA-PBE.
Lines closer than 0.1° are merged.

Crystal structure
```
data_Sr4GaHg
_chemical_formula_sum 'Sr12 Ga3 Hg3'
_cell_length_a 5.5682
_cell_length_b 5.5682
_cell_length_c 27.5371
_cell_angle_alpha 90.00
_cell_angle_beta 90.00
_cell_angle_gamma 120.00
_symmetry_space_group_name_H-M 'R -3 m'
_symmetry_Int_Tables_number 166
_symmetry_space_group_name_Hall '-R 3 2"'
loop_
_atom_site_label
_atom_site_fract_x
_atom_site_fract_y
_atom_site_fract_z
_atom_site_occupancy
Sr1 0.0000 0.0000 0.1204 1
Sr2 0.0000 0.0000 0.3708 1
Ga1 0.0000 0.0000 0.0000 1
Hg1 0.0000 0.0000 0.5000 1
```

Top 8 peaks for 2θ = 15–90°, in order of falling intensity:
| 2θ (°) | d_spacing | Rel. int. | hkl |
| --- | --- | --- | --- |
| 32.15 | 2.784 | 100.0 | 1 1 0 |
| 31.94 | 2.802 | 98.9 | 0 1 8 |
| 19.50 | 4.551 | 64.7 | 0 1 2 |
| 57.19 | 1.611 | 37.3 | 1 2 8 |
| 37.82 | 2.379 | 36.5 | 2 0 2 |
| 45.96 | 1.975 | 35.9 | 2 0 8 |
| 19.34 | 4.590 | 21.3 | 0 0 6 |
| 57.32 | 1.607 | 19.0 | 3 0 0 |